Starting from a cell relaxed with PBE, the X-ray diffraction stick pattern of ZnCu2PO9 was computed for CuKα.
Neutral-atom scattering factors, no anomalous dispersion.

Most intense lines, 2θ = 15–90°, by intensity:
| two_theta | Rel. int. |
| --- | --- |
| 25.55 | 100.0 |
| 37.18 | 64.9 |
| 26.66 | 54.9 |
| 30.83 | 54.8 |
| 33.09 | 42.8 |
| 19.58 | 42.8 |
| 34.37 | 42.7 |
| 15.60 | 41.9 |
| 40.05 | 35.9 |
| 37.90 | 34.4 |
| 39.37 | 33.5 |
| 18.33 | 31.8 |

Structure:
Cell lengths 7.174, 9.795, 9.960 Å; angles 90.00, 103.60, 90.00 degrees
Fractional coordinates of all 52 atoms:
Zn  0.089  0.069  0.227
Zn  0.089  0.431  0.727
Zn  0.911  0.569  0.273
Zn  0.911  0.931  0.773
Cu  0.454  0.221  0.850
Cu  0.454  0.279  0.350
Cu  0.494  0.083  0.121
Cu  0.494  0.417  0.621
Cu  0.506  0.583  0.379
Cu  0.506  0.917  0.879
Cu  0.546  0.721  0.650
Cu  0.546  0.779  0.150
P  0.075  0.207  0.933
P  0.075  0.293  0.433
P  0.925  0.707  0.567
P  0.925  0.793  0.067
O  0.000  0.152  0.378
O  0.000  0.348  0.878
O  0.000  0.652  0.122
O  0.000  0.848  0.622
O  0.013  0.660  0.450
O  0.013  0.840  0.950
O  0.041  0.105  0.809
O  0.041  0.395  0.309
O  0.301  0.219  0.993
O  0.301  0.281  0.493
O  0.345  0.055  0.754
O  0.345  0.445  0.254
O  0.347  0.657  0.886
O  0.347  0.843  0.386
O  0.360  0.749  0.800
O  0.360  0.751  0.300
O  0.371  0.115  0.268
O  0.371  0.385  0.768
O  0.391  0.590  0.536
O  0.391  0.910  0.036
O  0.609  0.090  0.964
O  0.609  0.410  0.464
O  0.629  0.615  0.232
O  0.629  0.885  0.732
O  0.640  0.249  0.700
O  0.640  0.251  0.200
O  0.653  0.157  0.614
O  0.653  0.343  0.114
O  0.655  0.555  0.746
O  0.655  0.945  0.246
O  0.699  0.719  0.507
O  0.699  0.781  0.007
O  0.959  0.605  0.691
O  0.959  0.895  0.191
O  0.987  0.160  0.050
O  0.987  0.340  0.550

---

Starting from a cell relaxed with PBE, the X-ray diffraction stick pattern of ZnCuP4O12 was computed for CuKα.
Neutral-atom scattering factors, no anomalous dispersion.

Most intense lines, 2θ = 15–90°, by intensity:
| two_theta | Rel. int. |
| --- | --- |
| 29.43 | 100.0 |
| 20.68 | 36.6 |
| 26.10 | 33.9 |
| 27.63 | 30.6 |
| 34.15 | 27.9 |
| 30.87 | 23.9 |
| 42.66 | 22.2 |
| 37.25 | 21.9 |
| 24.87 | 18.7 |
| 19.14 | 15.3 |
| 40.60 | 12.3 |
| 59.83 | 11.3 |

Structure:
Cell lengths 7.286, 7.286, 10.030 Å; angles 112.91, 112.91, 70.02 degrees
Fractional coordinates of all 36 atoms:
Zn  0.051  0.949  0.750
Zn  0.949  0.051  0.250
Cu  0.000  0.500  0.500
Cu  0.500  0.000  0.000
P  0.254  0.730  0.022
P  0.270  0.746  0.478
P  0.297  0.314  0.802
P  0.314  0.297  0.302
P  0.686  0.703  0.698
P  0.703  0.686  0.198
P  0.730  0.254  0.522
P  0.746  0.270  0.978
O  0.091  0.851  0.095
O  0.123  0.289  0.325
O  0.149  0.909  0.405
O  0.189  0.710  0.584
O  0.192  0.336  0.647
O  0.209  0.505  0.928
O  0.289  0.123  0.825
O  0.290  0.811  0.916
O  0.317  0.534  0.345
O  0.336  0.192  0.147
O  0.466  0.683  0.155
O  0.495  0.791  0.572
O  0.505  0.209  0.428
O  0.534  0.317  0.845
O  0.664  0.808  0.853
O  0.683  0.466  0.655
O  0.710  0.189  0.084
O  0.711  0.877  0.175
O  0.791  0.495  0.072
O  0.808  0.664  0.353
O  0.811  0.290  0.416
O  0.851  0.091  0.595
O  0.877  0.711  0.675
O  0.909  0.149  0.905

---

Starting from a cell relaxed with PBE, the X-ray diffraction stick pattern of CuPbO2 was computed for CuKα.
Neutral-atom scattering factors, no anomalous dispersion.

Most intense lines, 2θ = 15–90°, by intensity:
| two_theta | Rel. int. |
| --- | --- |
| 32.08 | 100.0 |
| 24.55 | 23.0 |
| 58.49 | 18.1 |
| 33.11 | 17.8 |
| 50.32 | 17.2 |
| 63.33 | 13.8 |
| 36.79 | 13.3 |
| 20.33 | 13.2 |
| 53.96 | 12.8 |
| 41.35 | 11.2 |
| 56.53 | 11.0 |
| 69.59 | 10.8 |

Structure:
Cell lengths 5.689, 5.689, 5.689 Å; angles 123.20, 79.70, 129.14 degrees
Fractional coordinates of all 8 atoms:
Cu  0.000  0.000  0.000
Cu  0.500  0.000  0.500
Pb  0.262  0.512  0.750
Pb  0.738  0.488  0.250
O  0.166  0.000  0.666
O  0.166  0.500  0.166
O  0.834  0.000  0.334
O  0.834  0.500  0.834